Starting from a DFT-relaxed cell (GGA+U, Alexandria), the powder diffractogram of Li4Ni8O9F7 was simulated for Cu Ka.

```
data_Li4Ni8O9F7
_cell_length_a 5.6527
_cell_length_b 5.9382
_cell_length_c 10.3793
_cell_angle_alpha 74.86
_cell_angle_beta 74.35
_cell_angle_gamma 62.05
_space_group_name_H-M_alt 'P 1'
_space_group_IT_number 1
loop_
_space_group_symop_operation_xyz
'x,y,z'
loop_
_atom_site_label
_atom_site_type_symbol
_atom_site_fract_x
_atom_site_fract_y
_atom_site_fract_z
Li1 Li 0.0000 0.0000 0.0000
Li2 Li 0.0940 0.2187 0.6013
Li3 Li 0.4981 0.5023 0.5005
Li4 Li 0.6184 0.7020 0.1045
Ni1 Ni 0.0441 0.1205 0.2945
Ni2 Ni 0.0481 0.6083 0.8005
Ni3 Ni 0.0502 0.6028 0.2979
Ni4 Ni 0.2913 0.3639 0.0537
Ni5 Ni 0.5469 0.1090 0.8013
Ni6 Ni 0.5484 0.6082 0.8006
Ni7 Ni 0.5500 0.1071 0.2994
Ni8 Ni 0.7983 0.8589 0.5494
O1 O 0.1827 0.2553 0.3933
O2 O 0.2045 0.6841 0.9146
O3 O 0.3942 0.0298 0.1867
O4 O 0.4118 0.4740 0.7047
O5 O 0.6847 0.7437 0.8960
O6 O 0.7071 0.1827 0.4131
O7 O 0.8916 0.5353 0.6850
O8 O 0.9175 0.9568 0.2064
O9 O 0.9452 0.4870 0.1831
F1 F 0.1705 0.7127 0.4235
F2 F 0.1757 0.2243 0.9283
F3 F 0.4223 0.9953 0.6703
F4 F 0.4355 0.4839 0.1754
F5 F 0.6713 0.2259 0.9297
F6 F 0.6724 0.7271 0.4288
F7 F 0.9181 0.9957 0.6705
```

Top 10 peaks for 10 to 80 degrees two-theta, low angle first:
- 2θ 18.01, I = 100, (0 0 2)
- 2θ 18.72, I = 45, (1 0 1)
- 2θ 18.82, I = 45, (1 1 0)
- 2θ 34.54, I = 13, (0 1 -3)
- 2θ 35.36, I = 20, (-1 1 2)
- 2θ 36.57, I = 20, (0 2 2)
- 2θ 41.89, I = 43, (0 2 -2)
- 2θ 43.89, I = 37, (2 0 -2)
- 2θ 44.15, I = 36, (2 2 4)
- 2θ 62.23, I = 24, (2 0 6)